Li5Pm2Zn5: simulated powder diffractogram (copper Kα), based on a cell relaxed with PBE.
Neutral-atom scattering factors, no anomalous dispersion.

Top 8 peaks for 2θ from 5° to 70°, in order of rising 2θ:
2theta  intensity  index
19.47  82.8  1 0 0
27.65  30.9  1 1 1
33.35  44.9  0 1 3
34.32  33.2  0 2 0
38.91  100.0  1 1 3
39.52  31.9  2 0 0
39.76  30.0  1 2 0
64.55  24.5  1 3 3

Atomic structure:
```
data_Li5Pm2Zn5
_symmetry_space_group_name_H-M 'P m m m'
_symmetry_Int_Tables_number 47
_symmetry_space_group_name_Hall '-P 2 2'
_cell_length_a 4.5595
_cell_length_b 5.2254
_cell_length_c 9.3986
_cell_angle_alpha 90.00
_cell_angle_beta 90.00
_cell_angle_gamma 90.00
loop_
_atom_site_label
_atom_site_fract_x
_atom_site_fract_y
_atom_site_fract_z
Li1 0.0000 0.0000 0.0000
Li2 0.0000 0.2498 0.2560
Pm1 0.5000 0.0000 0.5000
Pm2 0.5000 0.5000 0.0000
Zn1 0.0000 0.5000 0.5000
Zn2 0.5000 0.0000 0.1675
Zn3 0.5000 0.5000 0.3288
```